Record 1
Theoretical X-ray diffraction stick pattern
Compound: LiMgH6Ir
Radiation: Cu Kα (weighted mean of Kα1 and Kα2)
Structure: a cell relaxed with PBE
No peak broadening, texture or thermal motion is included.

Top 10 peaks for 10° ≤ 2θ ≤ 90°, by intensity:
2θ 23.1, intensity 100; 2θ 38.2, intensity 54; 2θ 45.1, intensity 51; 2θ 26.8, intensity 38; 2θ 60.6, intensity 21; 2θ 69.1, intensity 19; 2θ 86.4, intensity 16; 2θ 73.9, intensity 16; 2θ 62.3, intensity 14; 2θ 55.1, intensity 10

Cell and atoms:
```
data_LiMgH6Ir
_chemical_formula_sum 'Li4 Mg4 H24 Ir4'
_symmetry_space_group_name_H-M 'P 1'
_symmetry_Int_Tables_number 1
_symmetry_space_group_name_Hall 'P 1'
_cell_length_a 6.663
_cell_length_b 6.663
_cell_length_c 6.663
_cell_angle_alpha 90.00
_cell_angle_beta 90.00
_cell_angle_gamma 90.00
loop_
_atom_site_label
_atom_site_type_symbol
_atom_site_fract_x
_atom_site_fract_y
_atom_site_fract_z
Li1 Li 0.000 0.000 0.000
Li2 Li 0.000 0.000 0.500
Li3 Li 0.000 0.500 0.000
Li4 Li 0.500 0.000 0.000
Mg1 Mg 0.000 0.500 0.500
Mg2 Mg 0.500 0.000 0.500
Mg3 Mg 0.500 0.500 0.000
Mg4 Mg 0.500 0.500 0.500
H1 H 0.007 0.250 0.250
H2 H 0.007 0.750 0.750
H3 H 0.248 0.248 0.507
H4 H 0.248 0.493 0.752
H5 H 0.248 0.507 0.248
H6 H 0.248 0.752 0.493
H7 H 0.250 0.007 0.250
H8 H 0.250 0.250 0.007
H9 H 0.250 0.750 0.993
H10 H 0.250 0.993 0.750
H11 H 0.493 0.248 0.752
H12 H 0.493 0.752 0.248
H13 H 0.507 0.248 0.248
H14 H 0.507 0.752 0.752
H15 H 0.750 0.007 0.750
H16 H 0.750 0.250 0.993
H17 H 0.750 0.750 0.007
H18 H 0.750 0.993 0.250
H19 H 0.752 0.248 0.493
H20 H 0.752 0.493 0.248
H21 H 0.752 0.507 0.752
H22 H 0.752 0.752 0.507
H23 H 0.993 0.250 0.750
H24 H 0.993 0.750 0.250
Ir1 Ir 0.257 0.257 0.257
Ir2 Ir 0.257 0.743 0.743
Ir3 Ir 0.743 0.257 0.743
Ir4 Ir 0.743 0.743 0.257
```

***

Record 2
Theoretical X-ray diffraction stick pattern
Compound: Cs2HgCl4
Radiation: Cu Kα (weighted mean of Kα1 and Kα2)
Structure: a cell relaxed with PBE
No peak broadening, texture or thermal motion is included.

Top 10 peaks for 10° ≤ 2θ ≤ 90°, by intensity:
2θ 22.3, intensity 100; 2θ 22.6, intensity 81; 2θ 29.7, intensity 74; 2θ 21.9, intensity 64; 2θ 15.7, intensity 44; 2θ 29.5, intensity 43; 2θ 34.9, intensity 28; 2θ 19.2, intensity 25; 2θ 31.6, intensity 25; 2θ 26.2, intensity 25

Cell and atoms:
```
data_Cs2HgCl4
_chemical_formula_sum 'Cs8 Hg4 Cl16'
_symmetry_space_group_name_H-M 'P 1'
_symmetry_Int_Tables_number 1
_symmetry_space_group_name_Hall 'P 1'
_cell_length_a 7.874
_cell_length_b 10.039
_cell_length_c 13.863
_cell_angle_alpha 90.00
_cell_angle_beta 90.00
_cell_angle_gamma 90.00
loop_
_atom_site_label
_atom_site_type_symbol
_atom_site_fract_x
_atom_site_fract_y
_atom_site_fract_z
Cs1 Cs 0.001 0.235 0.178
Cs2 Cs 0.002 0.371 0.591
Cs3 Cs 0.498 0.629 0.091
Cs4 Cs 0.499 0.765 0.678
Cs5 Cs 0.501 0.265 0.822
Cs6 Cs 0.502 0.129 0.409
Cs7 Cs 0.998 0.871 0.909
Cs8 Cs 0.999 0.735 0.322
Hg1 Hg 0.003 0.466 0.923
Hg2 Hg 0.497 0.534 0.423
Hg3 Hg 0.503 0.034 0.077
Hg4 Hg 0.997 0.966 0.577
Cl1 Cl 0.011 0.073 0.411
Cl2 Cl 0.036 0.218 0.919
Cl3 Cl 0.233 0.428 0.348
Cl4 Cl 0.246 0.064 0.666
Cl5 Cl 0.254 0.936 0.166
Cl6 Cl 0.267 0.572 0.848
Cl7 Cl 0.464 0.782 0.419
Cl8 Cl 0.489 0.927 0.911
Cl9 Cl 0.511 0.427 0.589
Cl10 Cl 0.536 0.282 0.081
Cl11 Cl 0.733 0.072 0.652
Cl12 Cl 0.746 0.436 0.334
Cl13 Cl 0.754 0.564 0.834
Cl14 Cl 0.767 0.928 0.152
Cl15 Cl 0.964 0.718 0.581
Cl16 Cl 0.989 0.573 0.089
```

***

Record 3
Theoretical X-ray diffraction stick pattern
Compound: AlInSb2
Radiation: Cu Kα (weighted mean of Kα1 and Kα2)
Structure: a cell relaxed with PBE
No peak broadening, texture or thermal motion is included.

Top 10 peaks for 10° ≤ 2θ ≤ 90°, by intensity:
2θ 24.0, intensity 100; 2θ 39.7, intensity 48; 2θ 46.8, intensity 32; 2θ 39.6, intensity 25; 2θ 72.0, intensity 16; 2θ 47.1, intensity 15; 2θ 63.1, intensity 12; 2θ 31.1, intensity 9; 2θ 57.3, intensity 8; 2θ 19.5, intensity 8

Cell and atoms:
```
data_AlInSb2
_chemical_formula_sum 'Al1 In1 Sb2'
_symmetry_space_group_name_H-M 'P 1'
_symmetry_Int_Tables_number 1
_symmetry_space_group_name_Hall 'P 1'
_cell_length_a 4.550
_cell_length_b 4.550
_cell_length_c 6.399
_cell_angle_alpha 90.00
_cell_angle_beta 90.00
_cell_angle_gamma 90.00
loop_
_atom_site_label
_atom_site_type_symbol
_atom_site_fract_x
_atom_site_fract_y
_atom_site_fract_z
Al1 Al 0.000 0.000 0.000
In1 In 0.500 0.500 0.500
Sb1 Sb 0.000 0.500 0.232
Sb2 Sb 0.500 0.000 0.768
```

***

Record 4
Theoretical X-ray diffraction stick pattern
Compound: Li2CeSn
Radiation: Cu Kα (weighted mean of Kα1 and Kα2)
Structure: a cell relaxed with PBE
No peak broadening, texture or thermal motion is included.

Top 9 peaks for 10° ≤ 2θ ≤ 90°, by intensity:
2θ 25.9, intensity 100; 2θ 36.9, intensity 93; 2θ 60.1, intensity 39; 2θ 66.6, intensity 34; 2θ 45.7, intensity 29; 2θ 84.4, intensity 20; 2θ 53.2, intensity 16; 2θ 78.6, intensity 11; 2θ 22.4, intensity 1

Cell and atoms:
```
data_Li2CeSn
_chemical_formula_sum 'Li2 Ce1 Sn1'
_symmetry_space_group_name_H-M 'P 1'
_symmetry_Int_Tables_number 1
_symmetry_space_group_name_Hall 'P 1'
_cell_length_a 4.867
_cell_length_b 4.867
_cell_length_c 4.867
_cell_angle_alpha 60.00
_cell_angle_beta 60.00
_cell_angle_gamma 60.00
loop_
_atom_site_label
_atom_site_type_symbol
_atom_site_fract_x
_atom_site_fract_y
_atom_site_fract_z
Li1 Li 0.250 0.250 0.250
Li2 Li 0.750 0.750 0.750
Ce1 Ce 0.000 0.000 0.000
Sn1 Sn 0.500 0.500 0.500
```

***

Record 5
Theoretical X-ray diffraction stick pattern
Compound: Cs3TmO3
Radiation: Cu Kα (weighted mean of Kα1 and Kα2)
Structure: a cell relaxed with PBE
No peak broadening, texture or thermal motion is included.

Top 10 peaks for 10° ≤ 2θ ≤ 90°, by intensity:
2θ 27.1, intensity 100; 2θ 27.4, intensity 54; 2θ 27.3, intensity 51; 2θ 26.3, intensity 51; 2θ 31.8, intensity 47; 2θ 34.6, intensity 23; 2θ 48.1, intensity 19; 2θ 40.4, intensity 18; 2θ 24.7, intensity 17; 2θ 48.8, intensity 15

Cell and atoms:
```
data_Cs3TmO3
_chemical_formula_sum 'Cs12 Tm4 O12'
_symmetry_space_group_name_H-M 'P 1'
_symmetry_Int_Tables_number 1
_symmetry_space_group_name_Hall 'P 1'
_cell_length_a 8.345
_cell_length_b 7.599
_cell_length_c 12.174
_cell_angle_alpha 90.00
_cell_angle_beta 95.82
_cell_angle_gamma 90.00
loop_
_atom_site_label
_atom_site_type_symbol
_atom_site_fract_x
_atom_site_fract_y
_atom_site_fract_z
Cs1 Cs 0.054 0.119 0.155
Cs2 Cs 0.054 0.381 0.655
Cs3 Cs 0.348 0.162 0.925
Cs4 Cs 0.348 0.338 0.425
Cs5 Cs 0.380 0.679 0.806
Cs6 Cs 0.380 0.821 0.306
Cs7 Cs 0.620 0.179 0.694
Cs8 Cs 0.620 0.321 0.194
Cs9 Cs 0.652 0.662 0.575
Cs10 Cs 0.652 0.838 0.075
Cs11 Cs 0.946 0.619 0.345
Cs12 Cs 0.946 0.881 0.845
Tm1 Tm 0.156 0.584 0.067
Tm2 Tm 0.156 0.916 0.567
Tm3 Tm 0.844 0.084 0.433
Tm4 Tm 0.844 0.416 0.933
O1 O 0.099 0.057 0.413
O2 O 0.099 0.443 0.913
O3 O 0.244 0.661 0.543
O4 O 0.244 0.839 0.043
O5 O 0.296 0.055 0.690
O6 O 0.296 0.445 0.190
O7 O 0.704 0.555 0.810
O8 O 0.704 0.945 0.310
O9 O 0.756 0.161 0.957
O10 O 0.756 0.339 0.457
O11 O 0.901 0.557 0.087
O12 O 0.901 0.943 0.587
```

***

Record 6
Theoretical X-ray diffraction stick pattern
Compound: Ba2MgBi2O6
Radiation: Cu Kα (weighted mean of Kα1 and Kα2)
Structure: a cell relaxed with PBE
No peak broadening, texture or thermal motion is included.

Top 10 peaks for 10° ≤ 2θ ≤ 90°, by intensity:
2θ 29.2, intensity 100; 2θ 28.2, intensity 66; 2θ 29.4, intensity 55; 2θ 41.1, intensity 50; 2θ 24.7, intensity 48; 2θ 18.9, intensity 45; 2θ 19.1, intensity 43; 2θ 28.0, intensity 36; 2θ 36.0, intensity 32; 2θ 40.4, intensity 31

Cell and atoms:
```
data_Ba2MgBi2O6
_chemical_formula_sum 'Ba2 Mg1 Bi2 O6'
_symmetry_space_group_name_H-M 'P 1'
_symmetry_Int_Tables_number 1
_symmetry_space_group_name_Hall 'P 1'
_cell_length_a 6.115
_cell_length_b 6.115
_cell_length_c 7.460
_cell_angle_alpha 113.95
_cell_angle_beta 113.95
_cell_angle_gamma 59.60
loop_
_atom_site_label
_atom_site_type_symbol
_atom_site_fract_x
_atom_site_fract_y
_atom_site_fract_z
Ba1 Ba 0.000 0.000 0.000
Ba2 Ba 0.551 0.551 0.689
Mg1 Mg 0.388 0.388 0.134
Bi1 Bi 0.138 0.138 0.557
Bi2 Bi 0.719 0.719 0.217
O1 O 0.317 0.790 0.351
O2 O 0.488 0.995 0.027
O3 O 0.494 0.494 0.979
O4 O 0.790 0.317 0.351
O5 O 0.971 0.971 0.631
O6 O 0.995 0.488 0.027
```

***

Record 7
Theoretical X-ray diffraction stick pattern
Compound: CsPbCl3
Radiation: Cu Kα (weighted mean of Kα1 and Kα2)
Structure: a cell relaxed with PBE
No peak broadening, texture or thermal motion is included.

Top 10 peaks for 10° ≤ 2θ ≤ 90°, by intensity:
2θ 22.0, intensity 100; 2θ 22.3, intensity 59; 2θ 39.0, intensity 59; 2θ 31.8, intensity 41; 2θ 44.8, intensity 31; 2θ 38.3, intensity 30; 2θ 30.8, intensity 26; 2θ 61.0, intensity 20; 2θ 51.3, intensity 17; 2θ 60.3, intensity 17

Cell and atoms:
```
data_CsPbCl3
_chemical_formula_sum 'Cs2 Pb2 Cl6'
_symmetry_space_group_name_H-M 'P 1'
_symmetry_Int_Tables_number 1
_symmetry_space_group_name_Hall 'P 1'
_cell_length_a 5.811
_cell_length_b 7.968
_cell_length_c 7.968
_cell_angle_alpha 89.97
_cell_angle_beta 90.00
_cell_angle_gamma 90.00
loop_
_atom_site_label
_atom_site_type_symbol
_atom_site_fract_x
_atom_site_fract_y
_atom_site_fract_z
Cs1 Cs 0.000 0.000 0.000
Cs2 Cs 0.000 0.498 0.498
Pb1 Pb 0.500 0.000 0.500
Pb2 Pb 0.500 0.500 0.000
Cl1 Cl 0.000 0.000 0.500
Cl2 Cl 0.000 0.500 0.000
Cl3 Cl 0.500 0.191 0.191
Cl4 Cl 0.500 0.309 0.690
Cl5 Cl 0.500 0.690 0.309
Cl6 Cl 0.500 0.809 0.809
```

***

Record 8
Theoretical X-ray diffraction stick pattern
Compound: Ba3Sb
Radiation: Cu Kα (weighted mean of Kα1 and Kα2)
Structure: a cell relaxed with PBE
No peak broadening, texture or thermal motion is included.

Top 9 peaks for 10° ≤ 2θ ≤ 90°, by intensity:
2θ 27.7, intensity 100; 2θ 32.1, intensity 51; 2θ 54.6, intensity 44; 2θ 46.1, intensity 37; 2θ 74.2, intensity 18; 2θ 76.4, intensity 17; 2θ 57.3, intensity 13; 2θ 85.3, intensity 13; 2θ 67.2, intensity 6

Cell and atoms:
```
data_Ba3Sb
_chemical_formula_sum 'Ba3 Sb1'
_symmetry_space_group_name_H-M 'P 1'
_symmetry_Int_Tables_number 1
_symmetry_space_group_name_Hall 'P 1'
_cell_length_a 5.572
_cell_length_b 5.572
_cell_length_c 5.572
_cell_angle_alpha 90.00
_cell_angle_beta 90.00
_cell_angle_gamma 90.00
loop_
_atom_site_label
_atom_site_type_symbol
_atom_site_fract_x
_atom_site_fract_y
_atom_site_fract_z
Ba1 Ba 0.000 0.000 0.500
Ba2 Ba 0.000 0.500 0.000
Ba3 Ba 0.500 0.000 0.000
Sb1 Sb 0.500 0.500 0.500
```

***

Record 9
Theoretical X-ray diffraction stick pattern
Compound: Ba2EuTaO6
Radiation: Cu Kα (weighted mean of Kα1 and Kα2)
Structure: a cell relaxed with PBE
No peak broadening, texture or thermal motion is included.

Top 10 peaks for 10° ≤ 2θ ≤ 90°, by intensity:
2θ 29.3, intensity 100; 2θ 52.0, intensity 27; 2θ 42.0, intensity 19; 2θ 51.9, intensity 14; 2θ 69.0, intensity 12; 2θ 60.7, intensity 12; 2θ 41.8, intensity 10; 2θ 84.0, intensity 7; 2θ 83.8, intensity 7; 2θ 84.1, intensity 7

Cell and atoms:
```
data_Ba2EuTaO6
_chemical_formula_sum 'Ba2 Eu1 Ta1 O6'
_symmetry_space_group_name_H-M 'P 1'
_symmetry_Int_Tables_number 1
_symmetry_space_group_name_Hall 'P 1'
_cell_length_a 6.103
_cell_length_b 6.103
_cell_length_c 6.103
_cell_angle_alpha 120.16
_cell_angle_beta 120.16
_cell_angle_gamma 89.71
loop_
_atom_site_label
_atom_site_type_symbol
_atom_site_fract_x
_atom_site_fract_y
_atom_site_fract_z
Ba1 Ba 0.250 0.750 0.500
Ba2 Ba 0.750 0.250 0.500
Eu1 Eu 0.000 0.000 0.000
Ta1 Ta 0.500 0.500 0.000
O1 O 0.249 0.284 0.534
O2 O 0.268 0.268 0.000
O3 O 0.284 0.751 0.035
O4 O 0.716 0.249 0.965
O5 O 0.732 0.732 0.000
O6 O 0.751 0.716 0.466
```